Structure and theoretical X-ray diffraction stick pattern of AlH6IO4 (a structure optimized by DFT (GGA-PBE); Cu Kα (weighted mean of Kα1 and Kα2)).

Main lines, in order of falling intensity (10° ≤ 2θ ≤ 90°):
23.70°, I = 100; 22.03°, I = 89; 24.05°, I = 77; 21.89°, I = 52; 43.14°, I = 44; 18.06°, I = 43; 28.81°, I = 32; 38.48°, I = 26; 32.61°, I = 22; 40.51°, I = 21; 36.47°, I = 19; 28.22°, I = 19

Crystal structure
a b c (Å): 8.4601 8.4601 5.2498
angles (deg): 107.44 107.44 111.08
Sites, in units of the cell vectors:
Al (0.0476, 0.9524, 0.7500)
Al (0.9524, 0.0476, 0.2500)
H (0.1014, 0.3894, 0.2897)
H (0.1218, 0.7030, 0.8823)
H (0.1534, 0.2957, 0.8119)
H (0.2957, 0.1534, 0.3119)
H (0.2970, 0.8782, 0.6177)
H (0.3894, 0.1014, 0.7897)
H (0.6106, 0.8986, 0.2103)
H (0.7030, 0.1218, 0.3823)
H (0.7043, 0.8466, 0.6881)
H (0.8466, 0.7043, 0.1881)
H (0.8782, 0.2970, 0.1177)
H (0.8986, 0.6106, 0.7103)
I (0.3472, 0.6528, 0.2500)
I (0.6528, 0.3472, 0.7500)
O (0.0189, 0.7042, 0.7309)
O (0.0863, 0.1614, 0.6676)
O (0.1614, 0.0863, 0.1676)
O (0.2958, 0.9811, 0.7691)
O (0.7042, 0.0189, 0.2309)
O (0.8386, 0.9137, 0.8324)
O (0.9137, 0.8386, 0.3324)
O (0.9811, 0.2958, 0.2691)